1.
Simulated powder XRD pattern of Na3CaLaP2SO12 for copper Kα, from DFT lattice parameters and positions (PBE).
Intensities are scaled so that the largest is 100.

Structure:
```
data_Na3CaLaP2SO12
_cell_length_a 16.4413
_cell_length_b 9.5251
_cell_length_c 9.5786
_cell_angle_alpha 90.00
_cell_angle_beta 123.57
_cell_angle_gamma 90.00
_symmetry_space_group_name_H-M 'C 1 c 1'
_symmetry_Int_Tables_number 9
loop_
_symmetry_equiv_pos_as_xyz
'x,y,z'
'x,-y,z+1/2'
'x+1/2,y+1/2,z'
'x+1/2,-y+1/2,z+1/2'
loop_
_atom_site_label
_atom_site_fract_x
_atom_site_fract_y
_atom_site_fract_z
_atom_site_occupancy
Na1 0.0000 0.0621 0.0000 1
Na2 0.3599 0.0694 0.0098 1
Na3 0.4196 0.2720 0.7471 1
Ca1 0.2860 0.2611 0.3197 1
La1 0.1058 0.2571 0.7334 1
P1 0.1992 0.0482 0.5321 1
P2 0.3584 0.4046 0.0471 1
S1 0.0314 0.3962 0.0186 1
O1 0.0181 0.4499 0.5315 1
O2 0.0236 0.3725 0.8581 1
O3 0.1211 0.1406 0.5336 1
O4 0.1270 0.3458 0.1603 1
O5 0.1390 0.0475 0.8734 1
O6 0.2552 0.0463 0.1893 1
O7 0.2596 0.3476 0.8953 1
O8 0.2744 0.1371 0.5211 1
O9 0.3671 0.3704 0.2119 1
O10 0.3690 0.4356 0.5323 1
O11 0.4389 0.3263 0.0350 1
O12 0.4527 0.1789 0.5205 1
```

Largest 6 diffraction maxima, sorted by position, 10 to 90 degrees two-theta:
two_theta  d (Å)  I/Imax  hkl
13.11  6.752  80  1 1 -1
18.56  4.780  65  2 0 -2
28.93  3.087  75  3 1 1
29.20  3.059  67  0 2 2
29.53  3.025  69  3 1 -3
32.63  2.745  100  6 0 -2

=====

2.
Simulated powder XRD pattern of NaB3H8 for copper Kα, from DFT lattice parameters and positions (PBE).
Intensities are scaled so that the largest is 100.

Structure:
```
data_NaB3H8
_cell_length_a 8.1508
_cell_length_b 5.7501
_cell_length_c 4.6848
_cell_angle_alpha 90.00
_cell_angle_beta 90.00
_cell_angle_gamma 90.00
_symmetry_space_group_name_H-M 'P m n 21'
_symmetry_Int_Tables_number 31
loop_
_symmetry_equiv_pos_as_xyz
'x,y,z'
'-x+1/2,-y,z+1/2'
'-x,y,z'
'x+1/2,-y,z+1/2'
loop_
_atom_site_label
_atom_site_fract_x
_atom_site_fract_y
_atom_site_fract_z
_atom_site_occupancy
Na1 0.0000 0.0491 0.0000 1
B1 0.0000 0.4999 0.6032 1
B2 0.1091 0.7572 0.5057 1
H1 0.0000 0.3343 0.4428 1
H2 0.0000 0.4520 0.8548 1
H3 0.1650 0.7860 0.2688 1
H4 0.1699 0.5598 0.5696 1
H5 0.1709 0.8801 0.6867 1
```

Largest 6 diffraction maxima, sorted by position, 10 to 90 degrees two-theta:
two_theta  d (Å)  I/Imax  hkl
21.81  4.074  57  2 0 0
24.51  3.632  45  0 1 1
26.87  3.318  100  1 1 1
36.61  2.454  15  3 1 0
38.33  2.348  53  3 0 1
41.51  2.176  23  3 1 1

=====

What did the first record say?
Simulated powder XRD pattern of Na3CaLaP2SO12 for copper Kα, from DFT lattice parameters and positions (PBE).
Intensities are scaled so that the largest is 100.

Structure:
```
data_Na3CaLaP2SO12
_cell_length_a 16.4413
_cell_length_b 9.5251
_cell_length_c 9.5786
_cell_angle_alpha 90.00
_cell_angle_beta 123.57
_cell_angle_gamma 90.00
_symmetry_space_group_name_H-M 'C 1 c 1'
_symmetry_Int_Tables_number 9
loop_
_symmetry_equiv_pos_as_xyz
'x,y,z'
'x,-y,z+1/2'
'x+1/2,y+1/2,z'
'x+1/2,-y+1/2,z+1/2'
loop_
_atom_site_label
_atom_site_fract_x
_atom_site_fract_y
_atom_site_fract_z
_atom_site_occupancy
Na1 0.0000 0.0621 0.0000 1
Na2 0.3599 0.0694 0.0098 1
Na3 0.4196 0.2720 0.7471 1
Ca1 0.2860 0.2611 0.3197 1
La1 0.1058 0.2571 0.7334 1
P1 0.1992 0.0482 0.5321 1
P2 0.3584 0.4046 0.0471 1
S1 0.0314 0.3962 0.0186 1
O1 0.0181 0.4499 0.5315 1
O2 0.0236 0.3725 0.8581 1
O3 0.1211 0.1406 0.5336 1
O4 0.1270 0.3458 0.1603 1
O5 0.1390 0.0475 0.8734 1
O6 0.2552 0.0463 0.1893 1
O7 0.2596 0.3476 0.8953 1
O8 0.2744 0.1371 0.5211 1
O9 0.3671 0.3704 0.2119 1
O10 0.3690 0.4356 0.5323 1
O11 0.4389 0.3263 0.0350 1
O12 0.4527 0.1789 0.5205 1
```

Largest 6 diffraction maxima, sorted by position, 10 to 90 degrees two-theta:
two_theta  d (Å)  I/Imax  hkl
13.11  6.752  80  1 1 -1
18.56  4.780  65  2 0 -2
28.93  3.087  75  3 1 1
29.20  3.059  67  0 2 2
29.53  3.025  69  3 1 -3
32.63  2.745  100  6 0 -2

=====

- What is the formula in the first record?
  Na3CaLaP2SO12